(1)
Calculated X-ray powder pattern
Compound: CaSnO2
Radiation: a wavelength of 1.5418 Å
Structure: a crystal structure in the Materials Project, relaxed with GGA-PBE

Main lines, by angle (10° ≤ 2θ ≤ 90°):
h k l	2theta	I (rel.)
0 1 -1	13.2	32
0 0 2	16.9	35
0 1 -2	19.8	78
0 2 1	21.9	39
0 1 3	27.4	100
1 -1 0	28.9	27
1 2 0	29.5	39
1 1 2	29.7	68
0 3 0	30.6	61
0 2 -3	32.9	48

Cell and atoms:
```
data_CaSnO2
_symmetry_space_group_name_H-M 'P -1'
_symmetry_Int_Tables_number 2
_cell_length_a 3.6002
_cell_length_b 8.9116
_cell_length_c 10.4900
_cell_angle_alpha 88.92
_cell_angle_beta 86.18
_cell_angle_gamma 79.61
loop_
_symmetry_equiv_pos_as_xyz
'x,y,z'
'-x,-y,-z'
loop_
_atom_site_label
_atom_site_type_symbol
_atom_site_fract_x
_atom_site_fract_y
_atom_site_fract_z
Ca1 Ca 0.1981 0.1433 0.4407
Ca2 Ca 0.2999 0.8431 0.2285
Sn1 Sn 0.0843 0.4893 0.6870
Sn2 Sn 0.3730 0.7925 0.8891
O1 O 0.1293 0.3021 0.8002
O2 O 0.1515 0.1148 0.2106
O3 O 0.3122 0.8788 0.4378
O4 O 0.4909 0.3932 0.2324
```



(2)
Calculated X-ray powder pattern
Compound: CaSn4O9
Radiation: a wavelength of 1.5418 Å
Structure: a crystal structure in the Materials Project, relaxed with GGA-PBE

Main lines, by angle (10° ≤ 2θ ≤ 90°):
h k l	2theta	I (rel.)
1 1 0	15.1	11
1 2 1	29.7	100
3 1 0	34.1	25
0 0 2	35.1	11
2 4 0	49.0	16
3 1 2	49.7	28
4 3 1	58.4	30
1 2 3	59.7	15
2 4 2	61.7	10
5 0 3	80.7	9

Cell and atoms:
```
data_CaSn4O9
_symmetry_space_group_name_H-M 'P 4/n'
_symmetry_Int_Tables_number 85
_cell_length_a 8.3131
_cell_length_b 8.3131
_cell_length_c 5.1139
_cell_angle_alpha 90.00
_cell_angle_beta 90.00
_cell_angle_gamma 90.00
loop_
_symmetry_equiv_pos_as_xyz
'x,y,z'
'-x,-y,-z'
'-y+1/2,x,z'
'y+1/2,-x,-z'
'-x+1/2,-y+1/2,z'
'x+1/2,y+1/2,-z'
'y,-x+1/2,z'
'-y,x+1/2,-z'
loop_
_atom_site_label
_atom_site_type_symbol
_atom_site_fract_x
_atom_site_fract_y
_atom_site_fract_z
Ca1 Ca 0.2500 0.2500 0.2234
Sn1 Sn 0.0628 0.8586 0.2315
O1 O 0.0134 0.7472 0.5827
O2 O 0.0391 0.3582 0.9291
O3 O 0.2500 0.7500 0.0000
```



(3)
Calculated X-ray powder pattern
Compound: CaSnO2
Radiation: a wavelength of 1.5418 Å
Structure: a crystal structure in the Materials Project, relaxed with GGA-PBE

Main lines, by angle (10° ≤ 2θ ≤ 90°):
h k l	2theta	I (rel.)
0 1 1	13.2	42
0 0 2	17.6	45
0 1 2	20.0	100
0 2 -2	27.3	54
0 1 -3	28.7	86
1 -1 0	30.0	83
1 2 1	30.2	90
0 3 0	30.5	68
1 0 -3	40.2	49
1 1 4	41.4	41

Cell and atoms:
```
data_CaSnO2
_symmetry_space_group_name_H-M 'P 1'
_symmetry_Int_Tables_number 1
_cell_length_a 3.4885
_cell_length_b 8.9582
_cell_length_c 10.2006
_cell_angle_alpha 86.67
_cell_angle_beta 81.83
_cell_angle_gamma 78.87
loop_
_symmetry_equiv_pos_as_xyz
'x,y,z'
loop_
_atom_site_label
_atom_site_type_symbol
_atom_site_fract_x
_atom_site_fract_y
_atom_site_fract_z
Ca1 Ca 0.0000 0.0000 0.0000
Ca2 Ca 0.0879 0.2689 0.5065
Ca3 Ca 0.3802 0.3703 0.8343
Ca4 Ca 0.6933 0.8975 0.6725
Sn1 Sn 0.2811 0.3348 0.1612
Sn2 Sn 0.4132 0.5992 0.5449
Sn3 Sn 0.6843 0.6687 0.9622
Sn4 Sn 0.8379 0.9334 0.3452
O1 O 0.1259 0.9346 0.7949
O2 O 0.2126 0.5430 0.0516
O3 O 0.2622 0.0036 0.4738
O4 O 0.5408 0.8585 0.0698
O5 O 0.5472 0.4100 0.4360
O6 O 0.8513 0.2659 0.0313
O7 O 0.8897 0.7257 0.4553
O8 O 0.9463 0.3417 0.7097
```